Li23MgZn6: simulated powder XRD pattern (a wavelength of 1.5418 Å), based on a cell relaxed with GGA-PBE.

Cell and atoms:
```
Li23MgZn6
1.0
0.000 6.409 6.409
6.409 0.000 6.409
6.409 6.409 0.000
Li Mg Zn
23 1 6
Direct
0.000 0.000 0.000 Li
0.000 0.000 0.500 Li
0.000 0.500 0.000 Li
0.000 0.500 0.500 Li
0.112 0.629 0.629 Li
0.124 0.124 0.124 Li
0.124 0.124 0.628 Li
0.124 0.628 0.124 Li
0.371 0.371 0.371 Li
0.371 0.371 0.888 Li
0.371 0.888 0.371 Li
0.372 0.876 0.876 Li
0.500 0.000 0.000 Li
0.500 0.000 0.500 Li
0.500 0.500 0.000 Li
0.628 0.124 0.124 Li
0.629 0.112 0.629 Li
0.629 0.629 0.112 Li
0.629 0.629 0.629 Li
0.876 0.372 0.876 Li
0.876 0.876 0.372 Li
0.876 0.876 0.876 Li
0.888 0.371 0.371 Li
0.500 0.500 0.500 Mg
0.255 0.255 0.745 Zn
0.255 0.745 0.255 Zn
0.255 0.745 0.745 Zn
0.745 0.255 0.255 Zn
0.745 0.255 0.745 Zn
0.745 0.745 0.255 Zn
```

Most intense lines, 15 to 90 degrees two-theta, by angle:
two_theta	intensity
19.6	27
24.1	100
27.8	65
31.2	31
39.8	96
47.0	48
49.3	17
63.2	18
65.1	21
72.2	30

=====

Li5MgZn3: simulated powder XRD pattern (a wavelength of 1.5418 Å), based on a cell relaxed with GGA-PBE.

Cell and atoms:
```
Li5MgZn3
1.0
7.894 0.000 0.000
-3.947 6.836 0.000
0.000 0.000 5.666
Li Mg Zn
10 2 6
Direct
0.000 0.344 0.250 Li
0.000 0.656 0.750 Li
0.333 0.667 0.000 Li
0.333 0.667 0.500 Li
0.344 0.000 0.250 Li
0.344 0.344 0.750 Li
0.656 0.000 0.750 Li
0.656 0.656 0.250 Li
0.667 0.333 0.000 Li
0.667 0.333 0.500 Li
0.000 0.000 0.000 Mg
0.000 0.000 0.500 Mg
0.000 0.329 0.750 Zn
0.000 0.671 0.250 Zn
0.329 0.000 0.750 Zn
0.329 0.329 0.250 Zn
0.671 0.000 0.250 Zn
0.671 0.671 0.750 Zn
```

Most intense lines, 15 to 90 degrees two-theta, by angle:
two_theta	intensity
22.5	17
27.5	100
31.6	15
39.1	30
39.5	45
48.9	20
51.5	21
53.8	15
64.6	16
79.7	10

=====

LiMg5Zn2: simulated powder XRD pattern (a wavelength of 1.5418 Å), based on a cell relaxed with GGA-PBE.

Cell and atoms:
```
LiMg5Zn2
1.0
4.727 0.000 0.000
-2.363 4.093 0.000
0.000 0.000 17.135
Li Mg Zn
2 10 4
Direct
0.333 0.667 0.250 Li
0.667 0.333 0.750 Li
0.000 0.000 0.154 Mg
0.000 0.000 0.346 Mg
0.000 0.000 0.654 Mg
0.000 0.000 0.846 Mg
0.333 0.667 0.556 Mg
0.333 0.667 0.750 Mg
0.333 0.667 0.944 Mg
0.667 0.333 0.056 Mg
0.667 0.333 0.250 Mg
0.667 0.333 0.444 Mg
0.333 0.667 0.105 Zn
0.333 0.667 0.395 Zn
0.667 0.333 0.605 Zn
0.667 0.333 0.895 Zn
```

Most intense lines, 15 to 90 degrees two-theta, by angle:
two_theta	intensity
20.7	32
21.7	21
22.3	18
26.8	57
34.1	23
38.1	100
38.4	39
43.1	32
43.7	27
68.8	16

=====

LiMgZn: simulated powder XRD pattern (a wavelength of 1.5418 Å), based on a cell relaxed with GGA-PBE.

Cell and atoms:
```
LiMgZn
1.0
3.003 0.000 0.000
-1.501 2.601 0.000
0.000 0.000 7.103
Li Mg Zn
1 1 1
Direct
0.000 0.000 0.000 Li
0.333 0.667 0.358 Mg
0.667 0.333 0.696 Zn
```

Most intense lines, 15 to 90 degrees two-theta, by angle:
two_theta	intensity
25.1	23
34.5	30
36.8	100
38.0	23
43.1	63
52.2	18
61.8	15
63.4	19
74.1	12
74.9	17

=====

LiMg14Zn: simulated powder XRD pattern (a wavelength of 1.5418 Å), based on a cell relaxed with GGA-PBE.

Cell and atoms:
```
LiMg14Zn
1.0
6.263 0.000 0.000
-3.132 5.424 0.000
0.000 0.000 10.382
Li Mg Zn
1 14 1
Direct
0.000 0.000 0.000 Li
0.002 0.501 0.000 Mg
0.165 0.329 0.253 Mg
0.165 0.329 0.747 Mg
0.165 0.835 0.253 Mg
0.165 0.835 0.747 Mg
0.499 0.501 0.000 Mg
0.499 0.998 0.000 Mg
0.501 0.002 0.500 Mg
0.501 0.499 0.500 Mg
0.667 0.333 0.246 Mg
0.667 0.333 0.754 Mg
0.671 0.835 0.253 Mg
0.671 0.835 0.747 Mg
0.998 0.499 0.500 Mg
0.000 0.000 0.500 Zn
```

Most intense lines, 15 to 90 degrees two-theta, by angle:
two_theta	intensity
18.5	19
29.8	5
33.0	24
34.6	28
37.4	100
48.6	16
59.0	17
63.8	21
70.2	20
72.0	13

=====

Li3Mg2Zn3: simulated powder XRD pattern (a wavelength of 1.5418 Å), based on a cell relaxed with GGA-PBE.

Cell and atoms:
```
Li3Mg2Zn3
1.0
4.045 0.000 0.000
0.000 4.076 0.000
0.000 0.000 8.297
Li Mg Zn
3 2 3
Direct
0.000 0.000 0.000 Li
0.500 0.000 0.268 Li
0.500 0.000 0.732 Li
0.000 0.500 0.257 Mg
0.000 0.500 0.743 Mg
0.000 0.000 0.500 Zn
0.500 0.500 0.000 Zn
0.500 0.500 0.500 Zn
```

Most intense lines, 15 to 90 degrees two-theta, by angle:
two_theta	intensity
21.4	35
21.8	16
30.9	13
31.2	27
38.1	100
43.6	17
44.5	16
44.8	16
76.5	11
78.1	11